1.
Calculated X-ray diffraction stick pattern
Compound: Y3Sn4BiO14
Radiation: a wavelength of 1.5418 Å
Structure: DFT lattice parameters and positions (GGA-PBE)
Lines closer than 0.1° are merged.

Top 10 peaks for 10 to 80 degrees two-theta, low angle first:
hkl 2 0 2, d = 3.054 Å, 2θ = 29.2°, I = 100
hkl 0 0 6, d = 3.040 Å, 2θ = 29.4°, I = 33
hkl 0 2 4, d = 2.642 Å, 2θ = 33.9°, I = 42
hkl 2 2 0, d = 1.871 Å, 2θ = 48.7°, I = 33
hkl 2 0 8, d = 1.865 Å, 2θ = 48.8°, I = 33
hkl 0 4 2, d = 1.594 Å, 2θ = 57.8°, I = 45
hkl 0 2 10, d = 1.590 Å, 2θ = 58.0°, I = 15
hkl 4 0 4, d = 1.527 Å, 2θ = 60.7°, I = 10
hkl 0 4 8, d = 1.321 Å, 2θ = 71.4°, I = 10
hkl 4 2 2, d = 1.214 Å, 2θ = 78.8°, I = 12

Structural model:
```
data_Y3Sn4BiO14
_chemical_formula_sum 'Y9 Sn12 Bi3 O42'
_symmetry_space_group_name_H-M 'R -3 m'
_symmetry_Int_Tables_number 166
_symmetry_space_group_name_Hall '-R 3 2"'
_cell_length_a 7.4841
_cell_length_b 7.4841
_cell_length_c 18.2426
_cell_angle_alpha 90.00
_cell_angle_beta 90.00
_cell_angle_gamma 120.00
loop_
_atom_site_label
_atom_site_type_symbol
_atom_site_fract_x
_atom_site_fract_y
_atom_site_fract_z
_atom_site_occupancy
Y1 Y 0.0000 0.5000 0.0000 1
Sn1 Sn 0.0000 0.0000 0.0000 1
Sn2 Sn 0.0000 0.5000 0.5000 1
Bi1 Bi 0.0000 0.0000 0.5000 1
O1 O 0.0000 0.0000 0.3711 1
O2 O 0.0502 0.5251 0.6126 1
O3 O 0.0539 0.5270 0.8640 1
```



2.
Calculated X-ray diffraction stick pattern
Compound: SrBi5O9
Radiation: a wavelength of 1.5418 Å
Structure: DFT lattice parameters and positions (GGA-PBE)
Lines closer than 0.1° are merged.

Top 10 peaks for 10 to 80 degrees two-theta, low angle first:
hkl 0 0 3, d = 3.362 Å, 2θ = 26.5°, I = 56
hkl 0 2 0, d = 3.312 Å, 2θ = 26.9°, I = 52
hkl 1 1 2, d = 3.239 Å, 2θ = 27.5°, I = 100
hkl 0 2 3, d = 2.862 Å, 2θ = 31.2°, I = 29
hkl 1 1 -1, d = 2.851 Å, 2θ = 31.4°, I = 27
hkl 1 -1 2, d = 2.827 Å, 2θ = 31.7°, I = 29
hkl 1 3 2, d = 2.011 Å, 2θ = 45.1°, I = 16
hkl -1 3 1, d = 1.999 Å, 2θ = 45.4°, I = 16
hkl 2 0 1, d = 1.965 Å, 2θ = 46.2°, I = 15
hkl 0 4 3, d = 1.721 Å, 2θ = 53.2°, I = 17

Structural model:
```
data_SrBi5O9
_chemical_formula_sum 'Sr1 Bi5 O9'
_symmetry_space_group_name_H-M 'P 1'
_symmetry_Int_Tables_number 1
_symmetry_space_group_name_Hall 'P 1'
_cell_length_a 3.929
_cell_length_b 6.993
_cell_length_c 10.821
_cell_angle_alpha 71.53
_cell_angle_beta 79.70
_cell_angle_gamma 89.61
loop_
_atom_site_label
_atom_site_type_symbol
_atom_site_fract_x
_atom_site_fract_y
_atom_site_fract_z
_atom_site_occupancy
Sr1 Sr 0.000 0.000 0.000 1
Bi1 Bi 0.206 0.499 0.673 1
Bi2 Bi 0.349 0.027 0.315 1
Bi3 Bi 0.510 0.506 0.969 1
Bi4 Bi 0.668 0.981 0.674 1
Bi5 Bi 0.933 0.519 0.308 1
O1 O 0.018 0.610 0.099 1
O2 O 0.087 0.381 0.886 1
O3 O 0.209 0.958 0.593 1
O4 O 0.447 0.138 0.105 1
O5 O 0.470 0.696 0.316 1
O6 O 0.561 0.893 0.885 1
O7 O 0.643 0.635 0.734 1
O8 O 0.676 0.298 0.661 1
O9 O 0.811 0.191 0.329 1
```



3.
Calculated X-ray diffraction stick pattern
Compound: Sr7Bi3O2
Radiation: a wavelength of 1.5418 Å
Structure: DFT lattice parameters and positions (GGA-PBE)
Lines closer than 0.1° are merged.

Top 10 peaks for 10 to 80 degrees two-theta, low angle first:
hkl 1 0 5, d = 3.822 Å, 2θ = 23.3°, I = 18
hkl 1 1 0, d = 3.585 Å, 2θ = 24.8°, I = 28
hkl 1 1 4, d = 3.215 Å, 2θ = 27.7°, I = 47
hkl 0 0 10, d = 2.909 Å, 2θ = 30.7°, I = 23
hkl 1 1 6, d = 2.883 Å, 2θ = 31.0°, I = 100
hkl 2 0 0, d = 2.535 Å, 2θ = 35.4°, I = 58
hkl 2 0 10, d = 1.911 Å, 2θ = 47.6°, I = 27
hkl 2 2 0, d = 1.792 Å, 2θ = 50.9°, I = 21
hkl 1 1 16, d = 1.622 Å, 2θ = 56.8°, I = 27
hkl 3 1 6, d = 1.522 Å, 2θ = 60.9°, I = 30

Structural model:
```
data_Sr7Bi3O2
_chemical_formula_sum 'Sr14 Bi6 O4'
_symmetry_space_group_name_H-M 'I 4/m m m'
_symmetry_Int_Tables_number 139
_symmetry_space_group_name_Hall '-I 4 2'
_cell_length_a 5.070
_cell_length_b 5.070
_cell_length_c 29.092
_cell_angle_alpha 90.00
_cell_angle_beta 90.00
_cell_angle_gamma 90.00
loop_
_atom_site_label
_atom_site_type_symbol
_atom_site_fract_x
_atom_site_fract_y
_atom_site_fract_z
_atom_site_occupancy
Sr1 Sr 0.000 0.000 0.000 1
Sr2 Sr 0.000 0.000 0.203 1
Sr3 Sr 0.000 0.500 0.094 1
Bi1 Bi 0.000 0.000 0.321 1
Bi2 Bi 0.000 0.000 0.500 1
O1 O 0.000 0.000 0.087 1
```